No. 1
Starting from the GGA-PBE geometry in Alexandria, the powder diffractogram of ZnPdRh2Pb was computed for Cu Kα X-rays.

Atomic structure:
Unit cell a=4.9829 b=4.9829 c=4.9827 alpha=90.00 beta=90.00 gamma=90.00
Element x y z (fractional)
1 Zn 0.0000 0.0000 0.0000
2 Pd 0.5000 0.5000 0.0000
3 Rh 0.0000 0.5000 0.5000
4 Rh 0.5000 0.0000 0.5000
5 Pb 0.5000 0.5000 0.5000

Top 10 peaks for 2θ = 10–90°, most intense first:
- 2θ 36.05, rel. 100
- 2θ 17.80, rel. 91
- 2θ 51.90, rel. 70
- 2θ 40.48, rel. 47
- 2θ 25.28, rel. 39
- 2θ 87.56, rel. 32
- 2θ 55.31, rel. 24
- 2θ 64.82, rel. 24
- 2θ 31.09, rel. 20
- 2θ 44.54, rel. 18

***

No. 2
Starting from the GGA-PBE geometry in Alexandria, the powder diffractogram of Ta3Pd4PbS12 was computed for Cu Kα X-rays.

Atomic structure:
Unit cell a=8.1706 b=8.1706 c=8.1706 alpha=105.94 beta=105.94 gamma=105.94
Element x y z (fractional)
1 Ta 0.0000 0.5538 0.4462
2 Ta 0.4462 0.0000 0.5538
3 Ta 0.5538 0.4462 0.0000
4 Pd 0.0718 0.5000 0.9282
5 Pd 0.5000 0.5000 0.5000
6 Pd 0.5000 0.9282 0.0718
7 Pd 0.9282 0.0718 0.5000
8 Pb 0.0000 0.0000 0.0000
9 S 0.0040 0.2568 0.3449
10 S 0.1044 0.8956 0.5000
11 S 0.2568 0.3449 0.0040
12 S 0.3250 0.6750 0.5000
13 S 0.3449 0.0040 0.2568
14 S 0.5000 0.1044 0.8956
15 S 0.5000 0.3250 0.6750
16 S 0.6551 0.7432 0.9960
17 S 0.6750 0.5000 0.3250
18 S 0.7432 0.9960 0.6551
19 S 0.8956 0.5000 0.1044
20 S 0.9960 0.6551 0.7432

Top 10 peaks for 2θ = 10–90°, most intense first:
- 2θ 24.48, rel. 100
- 2θ 22.83, rel. 34
- 2θ 27.35, rel. 27
- 2θ 30.03, rel. 26
- 2θ 39.63, rel. 24
- 2θ 41.22, rel. 23
- 2θ 50.45, rel. 23
- 2θ 18.27, rel. 18
- 2θ 45.72, rel. 17
- 2θ 46.68, rel. 16

***

No. 3
Starting from the GGA-PBE geometry in Alexandria, the powder diffractogram of UPdPb2S5 was computed for Cu Kα X-rays.

Atomic structure:
Unit cell a=8.9487 b=8.9487 c=12.6611 alpha=90.00 beta=90.00 gamma=154.40
Element x y z (fractional)
1 U 0.2131 0.7869 0.5000
2 U 0.7869 0.2131 0.0000
3 Pd 0.4200 0.5800 0.9225
4 Pd 0.5800 0.4200 0.4225
5 Pb 0.0940 0.9060 0.1310
6 Pb 0.1083 0.8917 0.7767
7 Pb 0.8917 0.1083 0.2767
8 Pb 0.9060 0.0940 0.6310
9 S 0.0666 0.9334 0.5276
10 S 0.2704 0.7296 0.1384
11 S 0.2882 0.7118 0.8657
12 S 0.3620 0.6380 0.4750
13 S 0.4957 0.5043 0.7587
14 S 0.5043 0.4957 0.2587
15 S 0.6380 0.3620 0.9750
16 S 0.7118 0.2882 0.3657
17 S 0.7296 0.2704 0.6384
18 S 0.9334 0.0666 0.0276

Top 10 peaks for 2θ = 10–90°, most intense first:
- 2θ 23.41, rel. 100
- 2θ 31.37, rel. 94
- 2θ 37.14, rel. 76
- 2θ 28.13, rel. 75
- 2θ 17.31, rel. 43
- 2θ 27.02, rel. 38
- 2θ 31.56, rel. 36
- 2θ 45.27, rel. 35
- 2θ 52.04, rel. 33
- 2θ 45.76, rel. 30

***

No. 4
Starting from the GGA-PBE geometry in Alexandria, the powder diffractogram of SbPd5Pb4 was computed for Cu Kα X-rays.

Atomic structure:
Unit cell a=6.9925 b=6.9925 c=5.2109 alpha=111.84 beta=111.84 gamma=81.27
Element x y z (fractional)
1 Sb 0.0000 0.0000 0.0000
2 Pd 0.0037 0.3828 0.4014
3 Pd 0.3828 0.0037 0.4014
4 Pd 0.6161 0.9959 0.0132
5 Pd 0.9959 0.6161 0.0132
6 Pd 0.9988 0.9988 0.4982
7 Pb 0.3008 0.3008 0.9412
8 Pb 0.3026 0.6963 0.6375
9 Pb 0.6963 0.3026 0.6375
10 Pb 0.6979 0.6979 0.3393

Top 10 peaks for 2θ = 10–90°, most intense first:
- 2θ 34.18, rel. 100
- 2θ 33.78, rel. 99
- 2θ 41.75, rel. 73
- 2θ 34.42, rel. 45
- 2θ 27.75, rel. 36
- 2θ 55.19, rel. 31
- 2θ 39.55, rel. 24
- 2θ 27.56, rel. 22
- 2θ 38.95, rel. 19
- 2θ 27.60, rel. 18

***

No. 5
Starting from the GGA-PBE geometry in Alexandria, the powder diffractogram of Sb2Pd8Pb was computed for Cu Kα X-rays.

Atomic structure:
Unit cell a=4.9578 b=5.7592 c=7.6455 alpha=107.83 beta=106.04 gamma=96.64
Element x y z (fractional)
1 Sb 0.2105 0.1422 0.3183
2 Sb 0.7895 0.8578 0.6817
3 Pd 0.1360 0.6302 0.2449
4 Pd 0.2255 0.8730 0.9707
5 Pd 0.2925 0.0499 0.6490
6 Pd 0.3020 0.5495 0.6205
7 Pd 0.6980 0.4505 0.3795
8 Pd 0.7075 0.9501 0.3510
9 Pd 0.7745 0.1270 0.0293
10 Pd 0.8640 0.3698 0.7551
11 Pb 0.5000 0.5000 0.0000

Top 10 peaks for 2θ = 10–90°, most intense first:
- 2θ 39.29, rel. 100
- 2θ 40.31, rel. 62
- 2θ 36.49, rel. 36
- 2θ 38.72, rel. 33
- 2θ 37.62, rel. 32
- 2θ 46.64, rel. 23
- 2θ 42.52, rel. 20
- 2θ 43.82, rel. 19
- 2θ 39.01, rel. 19
- 2θ 72.08, rel. 18

***

No. 6
Starting from the GGA-PBE geometry in Alexandria, the powder diffractogram of ThSb2Pd7Pb2 was computed for Cu Kα X-rays.

Atomic structure:
Unit cell a=4.1511 b=4.1511 c=15.3354 alpha=94.10 beta=94.10 gamma=89.75
Element x y z (fractional)
1 Th 0.0000 0.0000 0.0000
2 Sb 0.4313 0.4313 0.7486
3 Sb 0.5687 0.5687 0.2514
4 Pd 0.0389 0.5384 0.1392
5 Pd 0.3808 0.3808 0.5748
6 Pd 0.4616 0.9611 0.8608
7 Pd 0.5000 0.5000 0.0000
8 Pd 0.5384 0.0389 0.1392
9 Pd 0.6192 0.6192 0.4252
10 Pd 0.9611 0.4616 0.8608
11 Pb 0.1233 0.1233 0.4026
12 Pb 0.8767 0.8767 0.5974

Top 10 peaks for 2θ = 10–90°, most intense first:
- 2θ 43.71, rel. 100
- 2θ 35.36, rel. 52
- 2θ 42.80, rel. 49
- 2θ 33.90, rel. 45
- 2θ 30.52, rel. 45
- 2θ 33.76, rel. 44
- 2θ 25.19, rel. 43
- 2θ 11.60, rel. 41
- 2θ 40.71, rel. 40
- 2θ 29.27, rel. 35

***

No. 7
Starting from the GGA-PBE geometry in Alexandria, the powder diffractogram of ZrSbPdPb2 was computed for Cu Kα X-rays.

Atomic structure:
Unit cell a=5.2546 b=5.2546 c=5.6027 alpha=90.00 beta=90.00 gamma=90.00
Element x y z (fractional)
1 Zr 0.0000 0.0000 0.0000
2 Sb 0.5000 0.5000 0.0000
3 Pd 0.0000 0.0000 0.5000
4 Pb 0.0000 0.5000 0.5000
5 Pb 0.5000 0.0000 0.5000

Top 10 peaks for 2θ = 10–90°, most intense first:
- 2θ 28.83, rel. 100
- 2θ 34.13, rel. 65
- 2θ 47.44, rel. 52
- 2θ 31.95, rel. 39
- 2θ 15.82, rel. 34
- 2θ 57.88, rel. 29
- 2θ 59.73, rel. 26
- 2θ 49.03, rel. 24
- 2θ 37.82, rel. 17
- 2θ 55.03, rel. 17

***

No. 8
Starting from the GGA-PBE geometry in Alexandria, the powder diffractogram of Sc2Pd5Pb2 was computed for Cu Kα X-rays.

Atomic structure:
Unit cell a=8.6570 b=8.6570 c=8.6570 alpha=71.77 beta=133.93 gamma=128.25
Element x y z (fractional)
1 Sc 0.0326 0.1299 0.1624
2 Sc 0.0326 0.3701 0.4027
3 Sc 0.9674 0.6299 0.5973
4 Sc 0.9674 0.8701 0.8376
5 Pd 0.1048 0.0360 0.5688
6 Pd 0.1187 0.4569 0.9575
7 Pd 0.1187 0.6612 0.1618
8 Pd 0.1236 0.2510 0.7709
9 Pd 0.1236 0.8527 0.3725
10 Pd 0.4672 0.5360 0.4312
11 Pd 0.4801 0.3527 0.2291
12 Pd 0.4801 0.7510 0.6275
13 Pd 0.4994 0.1612 0.0425
14 Pd 0.4994 0.9569 0.8382
15 Pb 0.5772 0.8559 0.2213
16 Pb 0.6181 0.1181 0.5000
17 Pb 0.6181 0.6181 0.0000
18 Pb 0.6346 0.3559 0.7787

Top 10 peaks for 2θ = 10–90°, most intense first:
- 2θ 31.06, rel. 100
- 2θ 35.59, rel. 89
- 2θ 17.58, rel. 74
- 2θ 38.12, rel. 59
- 2θ 42.28, rel. 56
- 2θ 41.74, rel. 55
- 2θ 43.56, rel. 34
- 2θ 34.60, rel. 34
- 2θ 34.91, rel. 33
- 2θ 75.70, rel. 31

***

No. 9
Starting from the GGA-PBE geometry in Alexandria, the powder diffractogram of Sc3Pd2Pb was computed for Cu Kα X-rays.

Atomic structure:
Unit cell a=3.3146 b=3.3146 c=11.1220 alpha=90.00 beta=90.00 gamma=90.00
Element x y z (fractional)
1 Sc 0.0000 0.0000 0.0000
2 Sc 0.0000 0.0000 0.2975
3 Sc 0.0000 0.0000 0.7025
4 Pd 0.5000 0.5000 0.1487
5 Pd 0.5000 0.5000 0.8513
6 Pb 0.5000 0.5000 0.5000

Top 10 peaks for 2θ = 10–90°, most intense first:
- 2θ 36.36, rel. 100
- 2θ 38.41, rel. 48
- 2θ 26.90, rel. 32
- 2θ 68.12, rel. 31
- 2θ 24.00, rel. 22
- 2θ 45.80, rel. 17
- 2θ 55.44, rel. 16
- 2θ 31.42, rel. 16
- 2θ 64.04, rel. 13
- 2θ 83.50, rel. 11

***

No. 10
Starting from the GGA-PBE geometry in Alexandria, the powder diffractogram of Pd7PbSe2 was computed for Cu Kα X-rays.

Atomic structure:
Unit cell a=10.5521 b=10.5521 c=10.5521 alpha=157.07 beta=157.07 gamma=32.65
Element x y z (fractional)
1 Pd 0.0000 0.0000 0.0000
2 Pd 0.1004 0.6004 0.5000
3 Pd 0.2500 0.7500 0.5000
4 Pd 0.3996 0.8996 0.5000
5 Pd 0.6004 0.1004 0.5000
6 Pd 0.7500 0.2500 0.5000
7 Pd 0.8996 0.3996 0.5000
8 Pb 0.5000 0.5000 0.0000
9 Se 0.1738 0.1738 0.0000
10 Se 0.8262 0.8262 0.0000

Top 10 peaks for 2θ = 10–90°, most intense first:
- 2θ 40.48, rel. 100
- 2θ 43.13, rel. 49
- 2θ 77.28, rel. 30
- 2θ 35.06, rel. 22
- 2θ 24.99, rel. 22
- 2θ 31.42, rel. 18
- 2θ 62.63, rel. 16
- 2θ 71.78, rel. 14
- 2θ 57.02, rel. 10
- 2θ 35.46, rel. 10

***

No. 11
Starting from the GGA-PBE geometry in Alexandria, the powder diffractogram of Sm3PdPb2 was computed for Cu Kα X-rays.

Atomic structure:
Unit cell a=12.5570 b=4.6149 c=11.9472 alpha=90.00 beta=90.00 gamma=90.00
Element x y z (fractional)
1 Sm 0.0524 0.2500 0.1319
2 Sm 0.1250 0.7500 0.5541
3 Sm 0.2338 0.2500 0.8003
4 Sm 0.2662 0.7500 0.3003
5 Sm 0.3750 0.2500 0.0541
6 Sm 0.4476 0.7500 0.6319
7 Sm 0.5524 0.2500 0.3681
8 Sm 0.6250 0.7500 0.9459
9 Sm 0.7338 0.2500 0.6997
10 Sm 0.7662 0.7500 0.1997
11 Sm 0.8750 0.2500 0.4459
12 Sm 0.9476 0.7500 0.8681
13 Pd 0.1238 0.2500 0.3744
14 Pd 0.3762 0.7500 0.8744
15 Pd 0.6238 0.2500 0.1256
16 Pd 0.8762 0.7500 0.6256
17 Pb 0.0005 0.2500 0.6904
18 Pb 0.1837 0.7500 0.0050
19 Pb 0.3163 0.2500 0.5050
20 Pb 0.4995 0.7500 0.1904
21 Pb 0.5005 0.2500 0.8096
22 Pb 0.6837 0.7500 0.4950
23 Pb 0.8163 0.2500 0.9950
24 Pb 0.9995 0.7500 0.3096

Top 10 peaks for 2θ = 10–90°, most intense first:
- 2θ 32.54, rel. 100
- 2θ 39.04, rel. 89
- 2θ 35.39, rel. 87
- 2θ 28.27, rel. 81
- 2θ 29.63, rel. 81
- 2θ 38.67, rel. 54
- 2θ 32.21, rel. 51
- 2θ 36.54, rel. 49
- 2θ 59.97, rel. 43
- 2θ 43.62, rel. 41

***

No. 12
Starting from the GGA-PBE geometry in Alexandria, the powder diffractogram of SnPd4Pb was computed for Cu Kα X-rays.

Atomic structure:
Unit cell a=7.4528 b=3.3407 c=17.5544 alpha=90.00 beta=90.00 gamma=90.00
Element x y z (fractional)
1 Sn 0.2387 0.2500 0.1925
2 Sn 0.2613 0.7500 0.6925
3 Sn 0.7387 0.2500 0.3075
4 Sn 0.7613 0.7500 0.8075
5 Pd 0.0328 0.2500 0.0688
6 Pd 0.0719 0.2500 0.7960
7 Pd 0.0944 0.2500 0.3288
8 Pd 0.1422 0.2500 0.5753
9 Pd 0.3578 0.7500 0.0753
10 Pd 0.4056 0.7500 0.8288
11 Pd 0.4281 0.7500 0.2960
12 Pd 0.4672 0.7500 0.5688
13 Pd 0.5328 0.2500 0.4312
14 Pd 0.5719 0.2500 0.7040
15 Pd 0.5944 0.2500 0.1712
16 Pd 0.6422 0.2500 0.9247
17 Pd 0.8578 0.7500 0.4247
18 Pd 0.9056 0.7500 0.6712
19 Pd 0.9281 0.7500 0.2040
20 Pd 0.9672 0.7500 0.9312
21 Pb 0.2317 0.7500 0.4439
22 Pb 0.2683 0.2500 0.9439
23 Pb 0.7317 0.7500 0.0561
24 Pb 0.7683 0.2500 0.5561

Top 10 peaks for 2θ = 10–90°, most intense first:
- 2θ 35.87, rel. 100
- 2θ 41.78, rel. 98
- 2θ 39.36, rel. 94
- 2θ 41.14, rel. 57
- 2θ 71.36, rel. 40
- 2θ 44.65, rel. 38
- 2θ 36.11, rel. 36
- 2θ 37.15, rel. 36
- 2θ 29.75, rel. 34
- 2θ 54.97, rel. 34

***

No. 13
Starting from the GGA-PBE geometry in Alexandria, the powder diffractogram of Sn2Pd8Pb was computed for Cu Kα X-rays.

Atomic structure:
Unit cell a=7.5319 b=7.5319 c=7.5319 alpha=147.86 beta=120.19 gamma=69.53
Element x y z (fractional)
1 Sn 0.1780 0.1780 0.0000
2 Sn 0.8220 0.8220 0.0000
3 Pd 0.0694 0.3356 0.7338
4 Pd 0.2081 0.0000 0.2081
5 Pd 0.3437 0.8437 0.5000
6 Pd 0.3982 0.6644 0.7338
7 Pd 0.6018 0.3356 0.2662
8 Pd 0.6563 0.1563 0.5000
9 Pd 0.7919 0.0000 0.7919
10 Pd 0.9306 0.6644 0.2662
11 Pb 0.5000 0.5000 0.0000

Top 10 peaks for 2θ = 10–90°, most intense first:
- 2θ 38.97, rel. 100
- 2θ 43.41, rel. 20
- 2θ 43.90, rel. 18
- 2θ 76.68, rel. 14
- 2θ 63.45, rel. 12
- 2θ 77.37, rel. 12
- 2θ 48.48, rel. 11
- 2θ 38.15, rel. 10
- 2θ 83.69, rel. 9
- 2θ 67.09, rel. 9